Record 1
The following is a theoretical PXRD pattern of RbInCoCl6. It was derived from a structure optimized by DFT (PBE), using Cu Kα X-rays.
Kinematic intensities with the Lorentz-polarization factor, no thermal factor.

Largest 10 diffraction maxima, in order of falling intensity, 5° ≤ 2θ ≤ 70°:
Position (°2θ), intensity
19.72, 1000
36.77, 631
11.99, 630
19.81, 501
36.60, 441
29.86, 411
48.15, 332
43.97, 256
27.25, 242
33.84, 176

Crystal structure
a b c (Å): 6.548 6.548 7.379
angles (deg): 90.20 90.20 120.07
Sites, in units of the cell vectors:
Rb 0.000 0.000 0.000
In 0.666 0.334 0.500
Co 0.332 0.668 0.500
Cl 0.012 0.379 0.693
Cl 0.013 0.631 0.307
Cl 0.369 0.987 0.693
Cl 0.376 0.388 0.303
Cl 0.612 0.624 0.697
Cl 0.621 0.988 0.307

Record 2
The following is a theoretical PXRD pattern of La6CoIr2Cl3. It was derived from a structure optimized by DFT (PBE), using Cu Kα X-rays.
Kinematic intensities with the Lorentz-polarization factor, no thermal factor.

Largest 10 diffraction maxima, in order of falling intensity, 5° ≤ 2θ ≤ 70°:
Position (°2θ), intensity
29.40, 1000
11.59, 533
43.74, 366
40.32, 312
37.21, 231
53.58, 181
50.71, 147
45.40, 123
66.66, 81
58.74, 64

Crystal structure
a b c (Å): 7.170 7.170 7.997
angles (deg): 98.56 98.56 120.02
Sites, in units of the cell vectors:
La 0.067 0.393 0.203
La 0.258 0.258 0.798
La 0.393 0.067 0.203
La 0.607 0.933 0.797
La 0.742 0.742 0.202
La 0.933 0.607 0.797
Co 0.000 0.000 0.000
Ir 0.333 0.667 0.000
Ir 0.667 0.333 0.000
Cl 0.164 0.836 0.500
Cl 0.500 0.500 0.500
Cl 0.836 0.164 0.500

Record 3
The following is a theoretical PXRD pattern of Pm8CoIr3Cl4. It was derived from a structure optimized by DFT (PBE), using Cu Kα X-rays.
Kinematic intensities with the Lorentz-polarization factor, no thermal factor.

Largest 10 diffraction maxima, in order of falling intensity, 5° ≤ 2θ ≤ 70°:
Position (°2θ), intensity
29.94, 1000
11.81, 558
44.56, 366
41.10, 310
37.92, 239
54.61, 182
51.72, 151
46.26, 126
62.22, 90
68.06, 78

Crystal structure
a b c (Å): 8.842 8.842 8.842
angles (deg): 54.77 54.77 54.77
Sites, in units of the cell vectors:
Pm 0.235 0.235 0.235
Pm 0.242 0.729 0.729
Pm 0.271 0.271 0.758
Pm 0.271 0.758 0.271
Pm 0.729 0.242 0.729
Pm 0.729 0.729 0.242
Pm 0.758 0.271 0.271
Pm 0.765 0.765 0.765
Co 0.500 0.500 0.500
Ir 0.000 0.000 0.500
Ir 0.000 0.500 0.000
Ir 0.500 0.000 0.000
Cl 0.000 0.000 0.000
Cl 0.000 0.500 0.500
Cl 0.500 0.000 0.500
Cl 0.500 0.500 0.000

Record 4
The following is a theoretical PXRD pattern of K4CoCl6. It was derived from a structure optimized by DFT (PBE), using Cu Kα X-rays.
Kinematic intensities with the Lorentz-polarization factor, no thermal factor.

Largest 10 diffraction maxima, in order of falling intensity, 5° ≤ 2θ ≤ 70°:
Position (°2θ), intensity
30.93, 1000
14.42, 834
33.05, 749
53.63, 259
40.99, 253
14.62, 218
32.23, 207
34.63, 177
47.45, 167
29.48, 124

Crystal structure
a b c (Å): 8.569 8.569 8.808
angles (deg): 90.00 90.00 90.00
Sites, in units of the cell vectors:
K 0.174 0.326 0.250
K 0.174 0.326 0.750
K 0.326 0.826 0.250
K 0.326 0.826 0.750
K 0.674 0.174 0.250
K 0.674 0.174 0.750
K 0.826 0.674 0.250
K 0.826 0.674 0.750
Co 0.000 0.000 0.000
Co 0.500 0.500 0.500
Cl 0.000 0.000 0.271
Cl 0.000 0.000 0.729
Cl 0.087 0.713 0.000
Cl 0.213 0.587 0.500
Cl 0.287 0.087 0.000
Cl 0.413 0.213 0.500
Cl 0.500 0.500 0.229
Cl 0.500 0.500 0.771
Cl 0.587 0.787 0.500
Cl 0.713 0.913 0.000
Cl 0.787 0.413 0.500
Cl 0.913 0.287 0.000

Record 5
The following is a theoretical PXRD pattern of K6CoCl12. It was derived from a structure optimized by DFT (PBE), using Cu Kα X-rays.
Kinematic intensities with the Lorentz-polarization factor, no thermal factor.

Largest 10 diffraction maxima, in order of falling intensity, 5° ≤ 2θ ≤ 70°:
Position (°2θ), intensity
31.03, 1000
14.44, 896
32.71, 786
17.74, 754
43.05, 694
10.21, 624
34.36, 393
25.13, 286
38.93, 275
35.79, 205

Crystal structure
a b c (Å): 8.660 8.660 8.660
angles (deg): 89.79 89.79 89.79
Sites, in units of the cell vectors:
K 0.169 0.734 0.327
K 0.266 0.673 0.831
K 0.327 0.169 0.734
K 0.673 0.831 0.266
K 0.734 0.327 0.169
K 0.831 0.266 0.673
Co 0.000 0.000 0.000
Cl 0.033 0.960 0.743
Cl 0.040 0.257 0.967
Cl 0.141 0.457 0.564
Cl 0.257 0.967 0.040
Cl 0.436 0.859 0.543
Cl 0.457 0.564 0.141
Cl 0.543 0.436 0.859
Cl 0.564 0.141 0.457
Cl 0.743 0.033 0.960
Cl 0.859 0.543 0.436
Cl 0.960 0.743 0.033
Cl 0.967 0.040 0.257

Record 6
The following is a theoretical PXRD pattern of KCo4Cl8. It was derived from a structure optimized by DFT (PBE), using Cu Kα X-rays.
Kinematic intensities with the Lorentz-polarization factor, no thermal factor.

Largest 10 diffraction maxima, in order of falling intensity, 5° ≤ 2θ ≤ 70°:
Position (°2θ), intensity
29.18, 1000
17.98, 785
27.71, 577
49.01, 554
46.36, 536
15.89, 530
24.08, 419
54.53, 280
52.62, 234
62.57, 208

Crystal structure
a b c (Å): 6.439 6.439 9.869
angles (deg): 90.00 90.00 120.00
Sites, in units of the cell vectors:
K 0.000 0.000 0.000
Co 0.333 0.667 0.232
Co 0.333 0.667 0.768
Co 0.667 0.333 0.232
Co 0.667 0.333 0.768
Cl 0.000 0.336 0.694
Cl 0.000 0.664 0.306
Cl 0.333 0.667 0.000
Cl 0.336 0.000 0.694
Cl 0.336 0.336 0.306
Cl 0.664 0.000 0.306
Cl 0.664 0.664 0.694
Cl 0.667 0.333 0.000

Record 7
The following is a theoretical PXRD pattern of K3LiCo2Cl8. It was derived from a structure optimized by DFT (PBE), using Cu Kα X-rays.
Kinematic intensities with the Lorentz-polarization factor, no thermal factor.

Largest 10 diffraction maxima, in order of falling intensity, 5° ≤ 2θ ≤ 70°:
Position (°2θ), intensity
25.06, 1000
35.50, 885
17.53, 714
51.44, 529
33.60, 519
29.02, 435
50.71, 374
30.75, 367
49.86, 301
27.03, 296

Crystal structure
a b c (Å): 7.106 7.106 8.880
angles (deg): 90.00 90.00 120.00
Sites, in units of the cell vectors:
K 0.000 0.000 0.000
K 0.333 0.667 0.628
K 0.667 0.333 0.372
Li 0.000 0.000 0.500
Co 0.333 0.667 0.217
Co 0.667 0.333 0.783
Cl 0.165 0.329 0.319
Cl 0.165 0.835 0.319
Cl 0.329 0.165 0.681
Cl 0.333 0.667 0.969
Cl 0.667 0.333 0.031
Cl 0.671 0.835 0.319
Cl 0.835 0.165 0.681
Cl 0.835 0.671 0.681